1.
Diffraction record for Sm2MgURh6. The powder diffractogram is calculated, not measured: it uses a DFT-relaxed cell (GGA-PBE, Alexandria) and Cu Kα (λ = 1.5418 Å).
No peak broadening, texture or thermal motion is included.

Largest 12 diffraction maxima, low angle first, 2θ = 10–90°:
2θ = 11.26°, rel. 100, hkl 0 0 1
2θ = 19.26°, rel. 15, hkl 2 0 0
2θ = 22.63°, rel. 12, hkl 0 0 2
2θ = 30.93°, rel. 13, hkl 0 2 0
2θ = 32.03°, rel. 21, hkl 2 0 -3
2θ = 33.01°, rel. 27, hkl 3 1 0
2θ = 36.69°, rel. 30, hkl 4 0 -2
2θ = 38.67°, rel. 24, hkl 3 1 1
2θ = 39.09°, rel. 65, hkl 2 2 -2
2θ = 42.38°, rel. 24, hkl 1 1 3
2θ = 45.12°, rel. 21, hkl 4 0 1
2θ = 64.50°, rel. 13, hkl 6 2 -2

Crystal structure
```
data_Sm2MgURh6
_cell_length_a 10.003
_cell_length_b 5.789
_cell_length_c 8.529
_cell_angle_alpha 90.00
_cell_angle_beta 112.90
_cell_angle_gamma 90.00
_space_group_name_H-M_alt 'C 1 2/m 1'
_space_group_IT_number 12
_space_group_name_Hall '-C 2y'
loop_
_atom_site_label
_atom_site_fract_x
_atom_site_fract_y
_atom_site_fract_z
Sm1 0.209 0.000 0.129
Mg1 0.000 0.000 0.500
U1 0.000 0.500 0.000
Rh1 0.011 0.243 0.774
Rh2 0.247 0.500 0.227
```


2.
Diffraction record for Mg3Sn4Rh4. The powder diffractogram is calculated, not measured: it uses a DFT-relaxed cell (GGA-PBE, Alexandria) and Cu Kα (λ = 1.5418 Å).
No peak broadening, texture or thermal motion is included.

Largest 12 diffraction maxima, low angle first, 2θ = 10–90°:
2θ = 11.32°, rel. 48, hkl 0 0 2
2θ = 21.31°, rel. 35, hkl 0 2 0
2θ = 28.70°, rel. 63, hkl 1 0 1
2θ = 36.03°, rel. 92, hkl 1 2 1
2θ = 36.65°, rel. 64, hkl 0 3 3
2θ = 38.09°, rel. 58, hkl 1 1 4
2θ = 40.50°, rel. 32, hkl 1 0 5
2θ = 40.85°, rel. 100, hkl 0 2 6
2θ = 44.88°, rel. 57, hkl 1 3 2
2θ = 58.11°, rel. 46, hkl 2 0 0
2θ = 67.87°, rel. 35, hkl 1 5 4
2θ = 73.48°, rel. 36, hkl 2 2 6

Crystal structure
```
data_Mg3Sn4Rh4
_cell_length_a 3.174
_cell_length_b 8.337
_cell_length_c 15.630
_cell_angle_alpha 90.00
_cell_angle_beta 90.00
_cell_angle_gamma 90.00
_space_group_name_H-M_alt 'I m m m'
_space_group_IT_number 71
_space_group_name_Hall '-I 2 2'
loop_
_atom_site_label
_atom_site_fract_x
_atom_site_fract_y
_atom_site_fract_z
Mg1 0.000 0.000 0.000
Mg2 0.000 0.500 0.093
Sn1 0.000 0.300 0.337
Rh1 0.000 0.000 0.255
Rh2 0.000 0.219 0.500
```